Diffraction record for Ba8Zn6N. The X-ray powder pattern is calculated, not measured: it uses a DFT-relaxed cell (PBE, Alexandria) and λ = 1.5418 Å (Cu Kα).

Largest 10 diffraction maxima, by angle, 10° ≤ 2θ ≤ 90°:
21.87°, I 331; 26.57°, I 1000; 27.91°, I 643; 29.44°, I 231; 32.80°, I 504; 34.20°, I 187; 36.07°, I 444; 37.55°, I 234; 46.05°, I 228; 54.95°, I 215

Crystal structure
Cell lengths 8.5480, 8.5480, 8.5480 Å; angles 75.19, 75.19, 75.19 degrees
Positions (direct):
Ba: 0.1304 0.1304 0.1304
Ba: 0.1950 0.4047 0.6328
Ba: 0.3672 0.8050 0.5953
Ba: 0.4047 0.6328 0.1950
Ba: 0.5953 0.3672 0.8050
Ba: 0.6328 0.1950 0.4047
Ba: 0.8050 0.5953 0.3672
Ba: 0.8696 0.8696 0.8696
Zn: 0.0093 0.8515 0.4665
Zn: 0.1485 0.5335 0.9907
Zn: 0.4665 0.0093 0.8515
Zn: 0.5335 0.9907 0.1485
Zn: 0.8515 0.4665 0.0093
Zn: 0.9907 0.1485 0.5335
N: 0.5000 0.5000 0.5000

---

Diffraction record for NaH6IrPb. The X-ray powder pattern is calculated, not measured: it uses a DFT-relaxed cell (PBE, Alexandria) and λ = 1.5418 Å (Cu Kα).

Largest 10 diffraction maxima, by angle, 10° ≤ 2θ ≤ 90°:
20.73°, I 908; 34.17°, I 1000; 40.30°, I 506; 49.10°, I 190; 53.81°, I 166; 61.14°, I 287; 61.30°, I 95; 65.30°, I 127; 82.07°, I 85; 82.20°, I 85

Crystal structure
Cell lengths 5.2423, 5.2423, 5.2423 Å; angles 60.14, 60.14, 60.14 degrees
Positions (direct):
Na: 0.0000 0.0000 0.0000
H: 0.0227 0.0227 0.4768
H: 0.0227 0.4768 0.0227
H: 0.0234 0.4775 0.4775
H: 0.4768 0.0227 0.0227
H: 0.4775 0.0234 0.4775
H: 0.4775 0.4775 0.0234
Ir: 0.2502 0.2502 0.2502
Pb: 0.5002 0.5002 0.5002

---

Diffraction record for TlAg12Pd7. The X-ray powder pattern is calculated, not measured: it uses a DFT-relaxed cell (PBE, Alexandria) and λ = 1.5418 Å (Cu Kα).

Largest 10 diffraction maxima, by angle, 10° ≤ 2θ ≤ 90°:
35.24°, I 340; 37.53°, I 129; 39.28°, I 1000; 41.22°, I 413; 43.94°, I 283; 51.46°, I 116; 64.56°, I 160; 71.20°, I 124; 76.36°, I 101; 80.20°, I 150

Crystal structure
Cell lengths 7.5486, 7.5486, 7.5486 Å; angles 107.02, 107.02, 107.02 degrees
Positions (direct):
Tl: 0.0000 0.0000 0.0000
Ag: 0.0363 0.4142 0.3039
Ag: 0.2265 0.3660 0.6616
Ag: 0.3039 0.0363 0.4142
Ag: 0.3384 0.7735 0.6340
Ag: 0.3660 0.6616 0.2265
Ag: 0.4142 0.3039 0.0363
Ag: 0.5858 0.6961 0.9637
Ag: 0.6340 0.3384 0.7735
Ag: 0.6616 0.2265 0.3660
Ag: 0.6961 0.9637 0.5858
Ag: 0.7735 0.6340 0.3384
Ag: 0.9637 0.5858 0.6961
Pd: 0.0177 0.3249 0.9004
Pd: 0.0996 0.9823 0.6751
Pd: 0.3249 0.9004 0.0177
Pd: 0.5000 0.5000 0.5000
Pd: 0.6751 0.0996 0.9823
Pd: 0.9004 0.0177 0.3249
Pd: 0.9823 0.6751 0.0996

---

Diffraction record for NdZnAgPd. The X-ray powder pattern is calculated, not measured: it uses a DFT-relaxed cell (PBE, Alexandria) and λ = 1.5418 Å (Cu Kα).

Largest 10 diffraction maxima, by angle, 10° ≤ 2θ ≤ 90°:
23.49°, I 319; 33.96°, I 970; 39.03°, I 461; 39.75°, I 1000; 53.29°, I 175; 56.93°, I 150; 68.44°, I 161; 72.15°, I 164; 72.87°, I 112; 85.68°, I 105

Crystal structure
Cell lengths 7.8588, 4.5334, 5.4213 Å; angles 90.00, 118.75, 90.00 degrees
Positions (direct):
Nd: 0.0000 0.0000 0.0000
Nd: 0.5000 0.5000 0.0000
Zn: 0.0193 0.5000 0.5587
Zn: 0.5193 0.0000 0.5587
Ag: 0.2866 0.5000 0.3597
Ag: 0.7866 0.0000 0.3597
Pd: 0.2140 0.0000 0.6430
Pd: 0.7140 0.5000 0.6430

---

Diffraction record for PmZnNiPd. The X-ray powder pattern is calculated, not measured: it uses a DFT-relaxed cell (PBE, Alexandria) and λ = 1.5418 Å (Cu Kα).

Largest 10 diffraction maxima, by angle, 10° ≤ 2θ ≤ 90°:
24.75°, I 451; 35.01°, I 1000; 38.16°, I 136; 40.03°, I 475; 42.08°, I 992; 55.80°, I 171; 58.05°, I 157; 59.48°, I 146; 71.31°, I 163; 72.30°, I 154

Crystal structure
Cell lengths 7.4317, 4.2989, 5.3329 Å; angles 90.00, 117.81, 90.00 degrees
Positions (direct):
Pm: 0.0000 0.0000 0.0000
Pm: 0.5000 0.5000 0.0000
Zn: 0.4889 0.0000 0.4658
Zn: 0.9889 0.5000 0.4658
Ni: 0.2954 0.5000 0.3849
Ni: 0.7954 0.0000 0.3849
Pd: 0.2091 0.0000 0.6267
Pd: 0.7091 0.5000 0.6267

---

Diffraction record for Sr2AlGaS5. The X-ray powder pattern is calculated, not measured: it uses a DFT-relaxed cell (PBE, Alexandria) and λ = 1.5418 Å (Cu Kα).

Largest 10 diffraction maxima, by angle, 10° ≤ 2θ ≤ 90°:
24.22°, I 730; 28.45°, I 751; 30.83°, I 756; 31.83°, I 444; 33.01°, I 1000; 34.61°, I 362; 37.77°, I 529; 38.57°, I 478; 41.43°, I 324; 48.57°, I 558

Crystal structure
Cell lengths 9.1569, 9.1569, 12.0901 Å; angles 90.00, 90.00, 156.37 degrees
Positions (direct):
Sr: 0.1151 0.8849 0.5000
Sr: 0.1253 0.8747 0.1247
Sr: 0.8747 0.1253 0.6247
Sr: 0.8849 0.1151 0.0000
Al: 0.2239 0.7761 0.8462
Al: 0.7761 0.2239 0.3462
Ga: 0.4374 0.5626 0.2690
Ga: 0.5626 0.4374 0.7690
S: 0.0461 0.9539 0.8774
S: 0.2840 0.7160 0.4779
S: 0.3118 0.6882 0.2143
S: 0.3493 0.6507 0.8164
S: 0.4957 0.5043 0.1045
S: 0.5043 0.4957 0.6045
S: 0.6507 0.3493 0.3164
S: 0.6882 0.3118 0.7143
S: 0.7160 0.2840 0.9779
S: 0.9539 0.0461 0.3774

---

Diffraction record for SrTl2BrCl4. The X-ray powder pattern is calculated, not measured: it uses a DFT-relaxed cell (PBE, Alexandria) and λ = 1.5418 Å (Cu Kα).

Largest 10 diffraction maxima, by angle, 10° ≤ 2θ ≤ 90°:
15.72°, I 228; 22.08°, I 862; 23.26°, I 1000; 31.11°, I 261; 31.75°, I 357; 32.15°, I 792; 32.46°, I 587; 39.44°, I 432; 41.58°, I 187; 47.57°, I 241

Crystal structure
Cell lengths 8.0403, 4.3441, 8.0614 Å; angles 90.00, 91.14, 90.00 degrees
Positions (direct):
Sr: 0.0000 0.0000 0.0000
Tl: 0.0000 0.5000 0.5000
Tl: 0.5000 0.0000 0.0000
Br: 0.5000 0.5000 0.5000
Cl: 0.2049 0.0000 0.2929
Cl: 0.2076 0.5000 0.8771
Cl: 0.7924 0.5000 0.1229
Cl: 0.7951 0.0000 0.7071

---

Diffraction record for Sr3Ca2In4. The X-ray powder pattern is calculated, not measured: it uses a DFT-relaxed cell (PBE, Alexandria) and λ = 1.5418 Å (Cu Kα).

Largest 10 diffraction maxima, by angle, 10° ≤ 2θ ≤ 90°:
19.86°, I 196; 30.85°, I 938; 31.53°, I 1000; 44.69°, I 329; 54.43°, I 158; 55.72°, I 335; 56.15°, I 185; 65.83°, I 113; 73.35°, I 128; 74.46°, I 139

Crystal structure
Cell lengths 5.6746, 5.6746, 10.7684 Å; angles 90.00, 90.00, 120.00 degrees
Positions (direct):
Sr: 0.0000 0.0000 0.0000
Sr: 0.3333 0.6667 0.5882
Sr: 0.6667 0.3333 0.4118
Ca: 0.3333 0.6667 0.2115
Ca: 0.6667 0.3333 0.7885
In: 0.0000 0.0000 0.3466
In: 0.0000 0.0000 0.6534
In: 0.3333 0.6667 0.9029
In: 0.6667 0.3333 0.0971